For Rb3Cu3Cl8O, a cell relaxed with PBE gives the calculated X-ray diffraction stick pattern in this record (Cu Ka).
No peak broadening, texture or thermal motion is included.

Peak list (6 most intense, 10° ≤ 2θ ≤ 80°, most intense first)
2θ 22.0, rel. 100, hkl 1 2 1; 2θ 24.0, rel. 93, hkl 2 0 2; 2θ 32.2, rel. 64, hkl 2 3 -2; 2θ 31.8, rel. 60, hkl 4 0 -4; 2θ 30.2, rel. 58, hkl 4 1 0; 2θ 30.5, rel. 49, hkl 0 1 4

Cell and atoms:
Lattice parameters (Å, degrees): 13.5514 9.6070 13.3943 90.00 113.14 90.00
Space group P2_1/c (No. 14)
Unique sites:
Rb1 0.0650 0.1240 0.2021 (multiplicity 4)
Rb2 0.1883 0.6045 0.0762 (multiplicity 4)
Rb3 0.4304 0.6042 0.8112 (multiplicity 4)
Cu1 0.2278 0.1577 0.9962 (multiplicity 4)
Cu2 0.2659 0.6091 0.4087 (multiplicity 4)
Cu3 0.3627 0.1572 0.8622 (multiplicity 4)
Cl1 0.0875 0.2058 0.4837 (multiplicity 4)
Cl2 0.1388 0.0351 0.7762 (multiplicity 4)
Cl3 0.1673 0.5428 0.5512 (multiplicity 4)
Cl4 0.1770 0.7007 0.8227 (multiplicity 4)
Cl5 0.3161 0.1567 0.4364 (multiplicity 4)
Cl6 0.3582 0.2218 0.2176 (multiplicity 4)
Cl7 0.3970 0.7404 0.5345 (multiplicity 4)
Cl8 0.4105 0.5378 0.2996 (multiplicity 4)
O1 0.3382 0.0565 0.9721 (multiplicity 4)